1.
Computed XRD peak list of NaZnSiHO4 for λ = 1.5418 Å (Cu Kα), from DFT lattice parameters and positions (PBE).

Most intense lines, 2θ from 10° to 90°, in order of rising 2θ:
Position (°2θ)  Rel. int.
14.74  86
18.69  50
19.39  41
22.55  72
28.66  81
30.19  47
30.50  74
34.33  72
34.43  100
35.11  80
35.98  45
46.57  38

Atomic structure:
```
32
Lattice="5.2245 0.0000 0.0000 0.0000 7.7608 0.0000 0.0000 0.0000 9.4964" Properties=species:S:1:pos:R:3 pbc="T T T"
Na 0.1275 1.5928 3.1706
Na 2.4848 6.1679 7.9188
Na 2.7398 2.2875 6.3258
Na 5.0971 5.4732 1.5776
Zn 0.1131 0.8576 9.3905
Zn 2.4992 6.9032 4.6423
Zn 2.7254 3.0228 0.1059
Zn 5.1115 4.7380 4.8541
Si 0.0598 3.7606 7.9629
Si 2.5524 4.0001 3.2147
Si 2.6721 0.1197 1.5335
Si 5.1647 7.6410 6.2817
H 0.1378 2.1740 5.9358
H 2.4745 5.5867 1.1876
H 2.7500 1.7063 3.5606
H 5.0868 6.0544 8.3088
O 0.4034 7.4476 7.8480
O 0.5617 1.2942 5.6308
O 0.6975 6.4596 5.4110
O 0.9230 4.0306 3.3337
O 1.6893 3.7301 8.0819
O 1.9148 1.3012 0.6628
O 2.0505 6.4666 0.8826
O 2.2089 0.3132 3.0997
O 3.0156 4.1936 1.6485
O 3.1740 2.5862 3.8657
O 3.3098 5.1816 4.0854
O 3.5352 7.6105 6.1628
O 4.3016 0.1502 1.4145
O 4.5270 2.5792 8.8336
O 4.6628 5.1746 8.6139
O 4.8212 3.5672 6.3967
```

=====

2.
Computed XRD peak list of Na2TiH4O5 for λ = 1.5418 Å (Cu Kα), from DFT lattice parameters and positions (PBE).

Most intense lines, 2θ from 10° to 90°, in order of rising 2θ:
Position (°2θ)  Rel. int.
16.37  100
24.00  29
24.87  33
34.34  17
35.28  19
36.71  14
37.74  43
39.48  32
42.87  42
43.70  23
45.75  21
60.63  19

Atomic structure:
```
24
Lattice="3.0570 0.0000 0.0000 -0.0094 4.2223 0.0000 -0.9497 -0.8725 21.6571" Properties=species:S:1:pos:R:3 pbc="T T T"
Na 0.0026 -0.0038 1.7103
Na -0.4770 1.6810 12.5397
Na 2.5749 1.6688 9.1174
Na 2.0953 3.3536 19.9468
Ti 1.0537 -0.4363 10.8285
Ti 1.5238 2.1112 0.0000
H -0.6784 0.1559 16.4988
H -0.1781 1.0846 5.6719
H 0.7392 1.9978 6.5796
H 0.2615 3.5067 17.3943
H 1.8364 -0.1568 4.2628
H 1.3587 1.3520 15.0774
H 2.2760 2.2652 15.9852
H 2.7763 3.1939 5.1582
O -0.4743 -0.4315 12.1221
O -0.0041 2.1078 1.2933
O -0.6526 -0.6768 17.0629
O -0.1784 1.9128 6.2415
O 1.5285 0.0000 0.0000
O 1.0489 1.6749 10.8285
O 2.2763 1.4370 15.4156
O 2.7505 4.0266 4.5942
O 2.1020 1.2420 20.3638
O 2.5722 3.7813 9.5349
```

=====

3.
Computed XRD peak list of Na2TiH4O5 for λ = 1.5418 Å (Cu Kα), from DFT lattice parameters and positions (PBE).

Most intense lines, 2θ from 10° to 90°, in order of rising 2θ:
Position (°2θ)  Rel. int.
16.00  22
24.57  89
29.46  12
35.71  100
37.44  19
41.08  45
43.53  35
44.33  19
49.55  16
55.83  16
57.53  33
61.38  30

Atomic structure:
```
12
Lattice="-1.5262 2.0788 11.0812 1.5262 -2.0788 11.0812 1.5262 2.0788 -11.0812" Properties=species:S:1:pos:R:3 pbc="T T T"
Na 0.0000 0.0000 1.9308
Na 0.0000 0.0000 20.2316
Ti 0.0000 0.0000 11.0812
H 1.5262 -0.7734 4.5144
H 1.5262 0.7734 4.5144
H 0.0000 1.3054 6.5668
H 0.0000 2.8523 6.5668
O 1.5262 0.0000 0.0000
O 1.5262 0.0000 3.9122
O 1.5262 0.0000 9.8024
O 0.0000 2.0788 1.2788
O 0.0000 2.0788 7.1690
```